For Na3YSi2GeSO12, a DFT-relaxed cell (GGA-PBE, the Materials Project) gives the computed XRD peak list in this record (copper Kα).
Lines closer than 0.1° are merged.

Cell and atoms:
```
data_Na3YSi2GeSO12
_chemical_formula_sum 'Na12 Y4 Si8 Ge4 S4 O48'
_symmetry_space_group_name_H-M 'C 1 c 1'
_symmetry_Int_Tables_number 9
_symmetry_space_group_name_Hall 'C -2yc'
_cell_length_a 15.5152
_cell_length_b 9.4558
_cell_length_c 9.5374
_cell_angle_alpha 90.00
_cell_angle_beta 126.99
_cell_angle_gamma 90.00
loop_
_atom_site_label
_atom_site_fract_x
_atom_site_fract_y
_atom_site_fract_z
Na1 0.0000 0.0628 0.0000
Na2 0.3726 0.0758 0.7133
Na3 0.4449 0.2440 0.1397
Y1 0.0859 0.2595 0.4757
Si1 0.0304 0.3806 0.0669
Si2 0.1832 0.0481 0.8690
Ge1 0.2744 0.2000 0.2344
S1 0.3397 0.4182 0.6579
O1 0.0192 0.3558 0.2210
O2 0.0203 0.4546 0.5147
O3 0.1039 0.1489 0.7031
O4 0.1213 0.0533 0.4156
O5 0.1438 0.2891 0.1185
O6 0.2383 0.3635 0.6186
O7 0.2630 0.0492 0.3390
O8 0.2770 0.1365 0.0558
O9 0.3476 0.4277 0.1824
O10 0.3508 0.3780 0.5202
O11 0.4224 0.3470 0.8315
O12 0.4266 0.2057 0.3791
```

Main lines, in order of rising 2θ (2θ = 10–90°):
2θ (°), d [Å], intensity
18.61, 4.768, 100
19.38, 4.580, 96
19.61, 4.528, 93
22.22, 4.002, 87
29.65, 3.013, 80
30.42, 2.939, 95
31.95, 2.801, 72
33.18, 2.700, 95